Record 1
Structure and computed powder X-ray diffraction pattern of Tl4SnHg15 (DFT lattice parameters and positions (PBE); Cu Kα (λ = 1.5418 Å)).
Kinematic intensities with the Lorentz-polarization factor, no thermal factor.

Most intense lines, 10 to 90 degrees two-theta, by intensity:
| (hkl) | d [Å] | I_rel |
| --- | --- | --- |
| 1 1 5 | 2.781 | 100 |
| 0 0 10 | 2.508 | 17 |
| 0 2 0 | 2.378 | 17 |
| 2 0 0 | 2.347 | 16 |
| 1 3 5 | 1.439 | 14 |
| 3 1 5 | 1.425 | 13 |
| 1 1 15 | 1.495 | 13 |
| 0 2 10 | 1.726 | 12 |
| 2 2 0 | 1.670 | 11 |
| 2 2 10 | 1.390 | 11 |

Cell and atoms:
```
data_Tl4SnHg15
_chemical_formula_sum 'Tl4 Sn1 Hg15'
_symmetry_space_group_name_H-M 'P m m m'
_symmetry_Int_Tables_number 47
_cell_length_a 4.6935
_cell_length_b 4.7559
_cell_length_c 25.0836
_cell_angle_alpha 90.00
_cell_angle_beta 90.00
_cell_angle_gamma 90.00
loop_
_symmetry_equiv_pos_as_xyz
'x,y,z'
'-x,-y,-z'
'-x,-y,z'
'x,y,-z'
'x,-y,-z'
'-x,y,z'
'-x,y,-z'
'x,-y,z'
loop_
_atom_site_label
_atom_site_type_symbol
_atom_site_fract_x
_atom_site_fract_y
_atom_site_fract_z
_atom_site_occupancy
Tl1 Tl 0.0000 0.0000 0.1036 1
Tl2 Tl 0.0000 0.0000 0.3051 1
Sn1 Sn 0.0000 0.0000 0.5000 1
Hg1 Hg 0.0000 0.5000 0.0000 1
Hg2 Hg 0.0000 0.5000 0.2049 1
Hg3 Hg 0.0000 0.5000 0.4055 1
Hg4 Hg 0.5000 0.0000 0.0000 1
Hg5 Hg 0.5000 0.0000 0.2049 1
Hg6 Hg 0.5000 0.0000 0.4065 1
Hg7 Hg 0.5000 0.5000 0.1018 1
Hg8 Hg 0.5000 0.5000 0.3080 1
Hg9 Hg 0.5000 0.5000 0.5000 1
```


Record 2
Structure and computed powder X-ray diffraction pattern of La2TbC2I2 (DFT lattice parameters and positions (PBE); Cu Kα (λ = 1.5418 Å)).
Kinematic intensities with the Lorentz-polarization factor, no thermal factor.

Most intense lines, 10 to 90 degrees two-theta, by intensity:
| (hkl) | d [Å] | I_rel |
| --- | --- | --- |
| 1 0 5 | 2.947 | 100 |
| 1 1 0 | 3.244 | 99 |
| 2 1 5 | 1.810 | 48 |
| 1 0 7 | 2.356 | 48 |
| 2 0 0 | 2.294 | 43 |
| 2 1 7 | 1.644 | 32 |
| 1 1 12 | 1.436 | 19 |
| 3 1 0 | 1.451 | 18 |
| 2 2 0 | 1.622 | 15 |
| 2 0 12 | 1.313 | 14 |

Cell and atoms:
```
data_La2TbC2I2
_chemical_formula_sum 'La4 Tb2 C4 I4'
_symmetry_space_group_name_H-M 'I 4/m m m'
_symmetry_Int_Tables_number 139
_symmetry_space_group_name_Hall '-I 4 2'
_cell_length_a 4.5884
_cell_length_b 4.5884
_cell_length_c 19.2241
_cell_angle_alpha 90.00
_cell_angle_beta 90.00
_cell_angle_gamma 90.00
loop_
_atom_site_label
_atom_site_type_symbol
_atom_site_fract_x
_atom_site_fract_y
_atom_site_fract_z
_atom_site_occupancy
La1 La 0.0000 0.0000 0.0829 1
Tb1 Tb 0.0000 0.0000 0.5000 1
C1 C 0.0000 0.5000 0.0000 1
I1 I 0.0000 0.0000 0.3313 1
```


Record 3
Structure and computed powder X-ray diffraction pattern of Dy4W (DFT lattice parameters and positions (PBE); Cu Kα (λ = 1.5418 Å)).
Kinematic intensities with the Lorentz-polarization factor, no thermal factor.

Most intense lines, 10 to 90 degrees two-theta, by intensity:
| (hkl) | d [Å] | I_rel |
| --- | --- | --- |
| 2 0 0 | 2.728 | 100 |
| 2 2 0 | 1.929 | 74 |
| 1 1 1 | 3.150 | 61 |
| 4 2 0 | 1.220 | 33 |
| 3 1 1 | 1.645 | 28 |
| 1 0 0 | 5.456 | 27 |
| 4 2 2 | 1.114 | 26 |
| 2 2 2 | 1.575 | 26 |
| 1 1 0 | 3.858 | 24 |
| 2 1 0 | 2.440 | 14 |

Cell and atoms:
```
data_Dy4W
_chemical_formula_sum 'Dy4 W1'
_symmetry_space_group_name_H-M 'P m -3 m'
_symmetry_Int_Tables_number 221
_symmetry_space_group_name_Hall '-P 4 2 3'
_cell_length_a 5.4557
_cell_length_b 5.4557
_cell_length_c 5.4557
_cell_angle_alpha 90.00
_cell_angle_beta 90.00
_cell_angle_gamma 90.00
loop_
_atom_site_label
_atom_site_type_symbol
_atom_site_fract_x
_atom_site_fract_y
_atom_site_fract_z
_atom_site_occupancy
Dy1 Dy 0.0000 0.0000 0.0000 1
Dy2 Dy 0.0000 0.5000 0.5000 1
W1 W 0.5000 0.5000 0.5000 1
```